Computed X-ray diffraction stick pattern
Compound: CsTiCuOF5
Radiation: Cu Kα (weighted mean of Kα1 and Kα2)
Structure: a crystal structure in Alexandria, relaxed with PBE

Structural model:
```
data_CsTiCuOF5
_chemical_formula_sum 'Cs4 Ti4 Cu4 O4 F20'
_cell_length_a 7.315
_cell_length_b 7.329
_cell_length_c 10.691
_cell_angle_alpha 90.00
_cell_angle_beta 90.00
_cell_angle_gamma 90.00
_symmetry_space_group_name_H-M 'I m m a'
_symmetry_Int_Tables_number 74
_symmetry_space_group_name_Hall '-I 2b 2'
loop_
_atom_site_label
_atom_site_type_symbol
_atom_site_fract_x
_atom_site_fract_y
_atom_site_fract_z
_atom_site_occupancy
Cs1 Cs 0.000 0.250 0.116 1
Ti1 Ti 0.250 0.250 0.750 1
Cu1 Cu 0.000 0.000 0.500 1
O1 O 0.000 0.250 0.788 1
F1 F 0.000 0.250 0.434 1
F2 F 0.212 0.060 0.624 1
```

Main lines, by angle (2θ = 10–90°):
two_theta	d [Å]	I_rel
23.93	3.719	42
24.32	3.660	17
27.84	3.204	56
28.51	3.131	100
29.58	3.020	27
45.02	2.014	27
48.99	1.859	37
58.03	1.589	15

***

Computed X-ray diffraction stick pattern
Compound: CsCuPbF6
Radiation: Cu Kα (weighted mean of Kα1 and Kα2)
Structure: a crystal structure in Alexandria, relaxed with PBE

Structural model:
```
data_CsCuPbF6
_chemical_formula_sum 'Cs4 Cu4 Pb4 F24'
_cell_length_a 7.822
_cell_length_b 8.183
_cell_length_c 10.402
_cell_angle_alpha 90.00
_cell_angle_beta 90.00
_cell_angle_gamma 90.00
_symmetry_space_group_name_H-M 'I m m a'
_symmetry_Int_Tables_number 74
_symmetry_space_group_name_Hall '-I 2b 2'
loop_
_atom_site_label
_atom_site_type_symbol
_atom_site_fract_x
_atom_site_fract_y
_atom_site_fract_z
_atom_site_occupancy
Cs1 Cs 0.000 0.250 0.091 1
Cu1 Cu 0.250 0.250 0.750 1
Pb1 Pb 0.000 0.000 0.500 1
F1 F 0.000 0.250 0.387 1
F2 F 0.000 0.250 0.725 1
F3 F 0.243 0.083 0.882 1
```

Main lines, by angle (2θ = 10–90°):
two_theta	d [Å]	I_rel
14.17	6.252	27
17.05	5.201	25
26.03	3.423	100
26.68	3.342	29
27.74	3.216	28
28.56	3.126	43
42.00	2.151	30
47.51	1.914	36

***

Computed X-ray diffraction stick pattern
Compound: CsCuPd2F8
Radiation: Cu Kα (weighted mean of Kα1 and Kα2)
Structure: a crystal structure in Alexandria, relaxed with PBE

Structural model:
```
data_CsCuPd2F8
_chemical_formula_sum 'Cs1 Cu1 Pd2 F8'
_cell_length_a 4.991
_cell_length_b 5.046
_cell_length_c 8.397
_cell_angle_alpha 90.17
_cell_angle_beta 93.21
_cell_angle_gamma 97.32
_symmetry_space_group_name_H-M 'P -1'
_symmetry_Int_Tables_number 2
loop_
_symmetry_equiv_pos_as_xyz
'x,y,z'
'-x,-y,-z'
loop_
_atom_site_label
_atom_site_type_symbol
_atom_site_fract_x
_atom_site_fract_y
_atom_site_fract_z
_atom_site_occupancy
Cs1 Cs 0.000 0.000 0.000 1
Cu1 Cu 0.000 0.000 0.500 1
Pd1 Pd 0.470 0.543 0.678 1
F1 F 0.211 0.207 0.683 1
F2 F 0.225 0.703 0.520 1
F3 F 0.254 0.138 0.330 1
F4 F 0.311 0.589 0.147 1
```

Main lines, by angle (2θ = 10–90°):
two_theta	d [Å]	I_rel
10.55	8.383	29
23.63	3.765	100
26.93	3.311	72
27.10	3.290	68
27.90	3.197	54
28.70	3.111	24
35.89	2.502	21
47.17	1.927	21

***

Computed X-ray diffraction stick pattern
Compound: CsCu2PdF8
Radiation: Cu Kα (weighted mean of Kα1 and Kα2)
Structure: a crystal structure in Alexandria, relaxed with PBE

Structural model:
```
data_CsCu2PdF8
_chemical_formula_sum 'Cs3 Cu6 Pd3 F24'
_cell_length_a 5.8811
_cell_length_b 5.8811
_cell_length_c 24.4881
_cell_angle_alpha 90.00
_cell_angle_beta 90.00
_cell_angle_gamma 120.00
_symmetry_space_group_name_H-M 'R -3 m'
_symmetry_Int_Tables_number 166
_symmetry_space_group_name_Hall '-R 3 2"'
loop_
_atom_site_label
_atom_site_type_symbol
_atom_site_fract_x
_atom_site_fract_y
_atom_site_fract_z
_atom_site_occupancy
Cs1 Cs 0.0000 0.0000 0.0000 1
Cu1 Cu 0.0000 0.0000 0.2462 1
Pd1 Pd 0.0000 0.0000 0.5000 1
F1 F 0.0000 0.0000 0.3206 1
F2 F 0.0155 0.5078 0.1172 1
```

Main lines, by angle (2θ = 10–90°):
two_theta	d [Å]	I_rel
22.71	3.915	100
30.40	2.941	41
34.18	2.624	19
38.28	2.351	10
46.38	1.958	17
49.64	1.836	23
54.75	1.677	19
56.47	1.630	9

***

Computed X-ray diffraction stick pattern
Compound: Cs2PrCuF6
Radiation: Cu Kα (weighted mean of Kα1 and Kα2)
Structure: a crystal structure in Alexandria, relaxed with PBE

Structural model:
```
data_Cs2PrCuF6
_chemical_formula_sum 'Cs8 Pr4 Cu4 F24'
_cell_length_a 8.456
_cell_length_b 10.035
_cell_length_c 10.126
_cell_angle_alpha 90.00
_cell_angle_beta 90.00
_cell_angle_gamma 90.00
_symmetry_space_group_name_H-M 'F m m m'
_symmetry_Int_Tables_number 69
_symmetry_space_group_name_Hall '-F 2 2'
loop_
_atom_site_label
_atom_site_type_symbol
_atom_site_fract_x
_atom_site_fract_y
_atom_site_fract_z
_atom_site_occupancy
Cs1 Cs 0.250 0.250 0.250 1
Pr1 Pr 0.000 0.000 0.000 1
Cu1 Cu 0.000 0.000 0.500 1
F1 F 0.000 0.000 0.226 1
F2 F 0.000 0.228 0.000 1
F3 F 0.224 0.000 0.500 1
```

Main lines, by angle (2θ = 10–90°):
two_theta	d [Å]	I_rel
24.99	3.564	100
27.49	3.245	79
27.59	3.233	78
35.46	2.531	36
35.79	2.509	35
45.51	1.993	39
45.71	1.985	38
50.18	1.818	30

***

Computed X-ray diffraction stick pattern
Compound: CsCu2PtF8
Radiation: Cu Kα (weighted mean of Kα1 and Kα2)
Structure: a crystal structure in Alexandria, relaxed with PBE

Structural model:
```
data_CsCu2PtF8
_chemical_formula_sum 'Cs3 Cu6 Pt3 F24'
_cell_length_a 5.8290
_cell_length_b 5.8290
_cell_length_c 25.3128
_cell_angle_alpha 90.00
_cell_angle_beta 90.00
_cell_angle_gamma 120.00
_symmetry_space_group_name_H-M 'R -3 m'
_symmetry_Int_Tables_number 166
_symmetry_space_group_name_Hall '-R 3 2"'
loop_
_atom_site_label
_atom_site_type_symbol
_atom_site_fract_x
_atom_site_fract_y
_atom_site_fract_z
_atom_site_occupancy
Cs1 Cs 0.0000 0.0000 0.0000 1
Cu1 Cu 0.0000 0.0000 0.2488 1
Pt1 Pt 0.0000 0.0000 0.5000 1
F1 F 0.0000 0.0000 0.3209 1
F2 F 0.0165 0.5082 0.1185 1
```

Main lines, by angle (2θ = 10–90°):
two_theta	d [Å]	I_rel
18.93	4.689	16
22.53	3.946	100
30.68	2.915	41
33.42	2.681	22
38.40	2.344	12
46.00	1.973	17
49.92	1.827	23
53.63	1.709	20

***

Computed X-ray diffraction stick pattern
Compound: Cs2RbCu3F12
Radiation: Cu Kα (weighted mean of Kα1 and Kα2)
Structure: a crystal structure in Alexandria, relaxed with PBE

Structural model:
```
data_Cs2RbCu3F12
_chemical_formula_sum 'Cs6 Rb3 Cu9 F36'
_cell_length_a 7.5508
_cell_length_b 7.5508
_cell_length_c 18.5359
_cell_angle_alpha 90.00
_cell_angle_beta 90.00
_cell_angle_gamma 120.00
_symmetry_space_group_name_H-M 'R -3 m'
_symmetry_Int_Tables_number 166
_symmetry_space_group_name_Hall '-R 3 2"'
loop_
_atom_site_label
_atom_site_type_symbol
_atom_site_fract_x
_atom_site_fract_y
_atom_site_fract_z
_atom_site_occupancy
Cs1 Cs 0.0000 0.0000 0.1124 1
Rb1 Rb 0.0000 0.0000 0.5000 1
Cu1 Cu 0.0000 0.5000 0.0000 1
F1 F 0.0420 0.5210 0.9028 1
F2 F 0.0832 0.5416 0.3207 1
```

Main lines, by angle (2θ = 10–90°):
two_theta	d [Å]	I_rel
23.55	3.778	33
27.69	3.222	100
28.95	3.084	22
36.64	2.452	13
41.38	2.182	12
44.03	2.057	34
48.18	1.889	32
57.15	1.612	15